Starting from the PBE+U geometry in the Materials Project, the powder XRD pattern of NiP4O12 was calculated for Cu Kα X-rays.
Peak positions follow from Bragg's law for the DFT cell and can differ from measured ones.

Most intense lines, 15 to 90 degrees two-theta, in order of falling intensity:
| two_theta | I (rel.) |
| --- | --- |
| 29.3 | 100 |
| 18.8 | 60 |
| 24.8 | 46 |
| 33.4 | 33 |
| 19.9 | 31 |
| 31.8 | 24 |
| 20.2 | 24 |
| 26.9 | 21 |
| 42.8 | 20 |
| 21.1 | 18 |
| 37.4 | 17 |
| 27.2 | 15 |

Cell lengths 11.8972, 8.4532, 9.7277 Å; angles 90.00, 115.62, 90.00 degrees
Space group C2/c (No. 15)
Inequivalent atoms, fractional coordinates:
Ni  0.2500  0.2500  0.0000 (multiplicity 4)
P  0.0024  0.2272  0.4711 (multiplicity 8)
P  0.1872  0.0051  0.6935 (multiplicity 8)
O  0.0214  0.3761  0.3994 (multiplicity 8)
O  0.0638  0.0969  0.1611 (multiplicity 8)
O  0.0680  0.2362  0.9308 (multiplicity 8)
O  0.1355  0.1466  0.5703 (multiplicity 8)
O  0.2217  0.4057  0.8409 (multiplicity 8)
O  0.2393  0.0676  0.8507 (multiplicity 8)